# Ac2UTiO8
Simulated powder X-ray diffraction pattern, Cu Kα X-rays. Input: a structure optimized by DFT (PBE).

Principal peaks in the range 10° ≤ 2θ ≤ 90°, by angle:
2θ (°)	I (rel.)
25.28	1000
25.80	972
28.63	686
29.32	624
31.04	468
45.62	504

Atomic structure:
a b c (Å): 4.1497 5.6317 8.0303
angles (deg): 82.28 88.16 82.53
Fractional coordinates of all 12 atoms:
Ac1 0.0134 0.0312 0.2412
Ac2 0.9866 0.9688 0.7588
U1 0.5000 0.5000 0.5000
Ti1 0.5000 0.5000 0.0000
O1 0.0749 0.7149 0.5217
O2 0.1259 0.7246 0.0329
O3 0.4379 0.2348 0.6860
O4 0.4602 0.3216 0.2235
O5 0.5398 0.6784 0.7765
O6 0.5621 0.7652 0.3140
O7 0.8741 0.2754 0.9671
O8 0.9251 0.2851 0.4783

# Ac5Tl4O
Simulated powder X-ray diffraction pattern, Cu Kα X-rays. Input: a structure optimized by DFT (PBE).

Principal peaks in the range 10° ≤ 2θ ≤ 90°, by angle:
2θ (°)	I (rel.)
27.21	594
28.29	604
29.48	1000
34.28	620
39.65	440
55.89	316

Atomic structure:
a b c (Å): 7.9793 7.9793 7.9793
angles (deg): 98.99 98.99 133.42
Fractional coordinates of all 10 atoms:
Ac1 0.0000 0.0000 0.0000
Ac2 0.2983 0.6483 0.8930
Ac3 0.4053 0.2983 0.6500
Ac4 0.6483 0.7553 0.3500
Ac5 0.7553 0.4053 0.1070
Tl1 0.0782 0.3749 0.3968
Tl2 0.3749 0.9781 0.2967
Tl3 0.6815 0.0782 0.7033
Tl4 0.9781 0.6815 0.6032
O1 0.5988 0.5988 0.0000

Repeat the first record exactly.
# Ac2UTiO8
Simulated powder X-ray diffraction pattern, Cu Kα X-rays. Input: a structure optimized by DFT (PBE).

Principal peaks in the range 10° ≤ 2θ ≤ 90°, by angle:
2θ (°)	I (rel.)
25.28	1000
25.80	972
28.63	686
29.32	624
31.04	468
45.62	504

Atomic structure:
a b c (Å): 4.1497 5.6317 8.0303
angles (deg): 82.28 88.16 82.53
Fractional coordinates of all 12 atoms:
Ac1 0.0134 0.0312 0.2412
Ac2 0.9866 0.9688 0.7588
U1 0.5000 0.5000 0.5000
Ti1 0.5000 0.5000 0.0000
O1 0.0749 0.7149 0.5217
O2 0.1259 0.7246 0.0329
O3 0.4379 0.2348 0.6860
O4 0.4602 0.3216 0.2235
O5 0.5398 0.6784 0.7765
O6 0.5621 0.7652 0.3140
O7 0.8741 0.2754 0.9671
O8 0.9251 0.2851 0.4783